Calculated powder XRD pattern
Compound: AcTaAl
Radiation: Cu Kα (λ = 1.5418 Å)
Structure: DFT lattice parameters and positions (GGA-PBE)

Principal peaks in the range 2θ = 10–90°, in order of rising 2θ:
| d_spacing | I/Imax | index |
| --- | --- | --- |
| 3.473 | 80 | 1 0 1 |
| 3.093 | 90 | 1 0 2 |
| 2.667 | 92 | 1 0 3 |
| 2.570 | 100 | 1 1 0 |
| 2.355 | 44 | 0 0 5 |
| 1.736 | 59 | 1 1 5 |

Structure:
Lattice parameters (Å, degrees): 3.635 3.635 11.774 90.00 90.00 90.00
Element x y z (fractional)
1 Ac 0.000 0.000 0.200
2 Ac 0.000 0.000 0.800
3 Ta 0.500 0.500 0.396
4 Ta 0.500 0.500 0.604
5 Al 0.000 0.000 0.500
6 Al 0.500 0.500 0.000